Diffraction record for La2Tb4Sm5. The powder diffractogram is simulated, not measured: it uses the GGA-PBE geometry in Alexandria and Cu Kα, 1.54184 Å.
Peak positions follow from Bragg's law for the DFT cell and can differ from measured ones.

Cell and atoms:
```
11
Lattice="8.9350 -1.7827 0.0000 8.9350 1.7827 0.0000 -0.8711 0.0000 11.7573" Properties=species:S:1:pos:R:3 pbc="T T T"
La 3.5781 0.0000 4.1665
La 13.4207 0.0000 7.5908
Tb 1.7965 0.0000 9.3977
Tb 7.7210 0.0000 8.7359
Tb 9.2778 0.0000 3.0214
Tb 15.2023 0.0000 2.3596
Sm 0.0000 0.0000 0.0000
Sm 4.9759 0.0000 10.9585
Sm 6.8471 0.0000 5.4358
Sm 10.1517 0.0000 6.3216
Sm 12.0229 0.0000 0.7988
```

Top 8 peaks for 2θ from 5° to 70°, most intense first:
| 2theta | d_spacing | intensity |
| --- | --- | --- |
| 30.5 | 2.932 | 100 |
| 31.3 | 2.855 | 56 |
| 31.5 | 2.840 | 52 |
| 61.4 | 1.511 | 41 |
| 32.5 | 2.755 | 40 |
| 33.6 | 2.671 | 29 |
| 29.5 | 3.024 | 27 |
| 29.9 | 2.986 | 22 |

Diffraction record for Pm4SbC. The powder diffractogram is simulated, not measured: it uses the GGA-PBE geometry in Alexandria and Cu Kα, 1.54184 Å.
Peak positions follow from Bragg's law for the DFT cell and can differ from measured ones.

Cell and atoms:
```
12
Lattice="6.2105 0.0000 0.0000 -0.0050 7.4276 0.0000 -3.1033 -2.1831 7.0994" Properties=species:S:1:pos:R:3 pbc="T T T"
Pm -0.5559 2.9226 1.3528
Pm 0.5439 6.6373 1.3564
Pm -0.4133 4.7643 4.4725
Pm 0.4093 1.0493 4.4719
Pm 2.6930 4.1952 2.6275
Pm 3.5155 0.4802 2.6269
Pm 2.5583 -1.3928 5.7430
Pm 3.6581 2.3219 5.7466
Sb 2.3035 1.8585 0.0024
Sb 0.7988 3.3860 7.0970
C -1.5541 2.6222 3.5497
C 1.5536 -1.0916 3.5497
```

Top 8 peaks for 2θ from 5° to 70°, most intense first:
| 2theta | d_spacing | intensity |
| --- | --- | --- |
| 31.2 | 2.864 | 100 |
| 32.5 | 2.755 | 88 |
| 34.7 | 2.583 | 69 |
| 29.9 | 2.987 | 63 |
| 29.3 | 3.044 | 40 |
| 51.3 | 1.781 | 30 |
| 60.9 | 1.522 | 19 |
| 39.5 | 2.282 | 19 |

Repeat the second record exactly.
Diffraction record for Pm4SbC. The powder diffractogram is simulated, not measured: it uses the GGA-PBE geometry in Alexandria and Cu Kα, 1.54184 Å.
Peak positions follow from Bragg's law for the DFT cell and can differ from measured ones.

Cell and atoms:
```
12
Lattice="6.2105 0.0000 0.0000 -0.0050 7.4276 0.0000 -3.1033 -2.1831 7.0994" Properties=species:S:1:pos:R:3 pbc="T T T"
Pm -0.5559 2.9226 1.3528
Pm 0.5439 6.6373 1.3564
Pm -0.4133 4.7643 4.4725
Pm 0.4093 1.0493 4.4719
Pm 2.6930 4.1952 2.6275
Pm 3.5155 0.4802 2.6269
Pm 2.5583 -1.3928 5.7430
Pm 3.6581 2.3219 5.7466
Sb 2.3035 1.8585 0.0024
Sb 0.7988 3.3860 7.0970
C -1.5541 2.6222 3.5497
C 1.5536 -1.0916 3.5497
```

Top 8 peaks for 2θ from 5° to 70°, most intense first:
| 2theta | d_spacing | intensity |
| --- | --- | --- |
| 31.2 | 2.864 | 100 |
| 32.5 | 2.755 | 88 |
| 34.7 | 2.583 | 69 |
| 29.9 | 2.987 | 63 |
| 29.3 | 3.044 | 40 |
| 51.3 | 1.781 | 30 |
| 60.9 | 1.522 | 19 |
| 39.5 | 2.282 | 19 |

What did the first record say?
Diffraction record for La2Tb4Sm5. The powder diffractogram is simulated, not measured: it uses the GGA-PBE geometry in Alexandria and Cu Kα, 1.54184 Å.
Peak positions follow from Bragg's law for the DFT cell and can differ from measured ones.

Cell and atoms:
```
11
Lattice="8.9350 -1.7827 0.0000 8.9350 1.7827 0.0000 -0.8711 0.0000 11.7573" Properties=species:S:1:pos:R:3 pbc="T T T"
La 3.5781 0.0000 4.1665
La 13.4207 0.0000 7.5908
Tb 1.7965 0.0000 9.3977
Tb 7.7210 0.0000 8.7359
Tb 9.2778 0.0000 3.0214
Tb 15.2023 0.0000 2.3596
Sm 0.0000 0.0000 0.0000
Sm 4.9759 0.0000 10.9585
Sm 6.8471 0.0000 5.4358
Sm 10.1517 0.0000 6.3216
Sm 12.0229 0.0000 0.7988
```

Top 8 peaks for 2θ from 5° to 70°, most intense first:
| 2theta | d_spacing | intensity |
| --- | --- | --- |
| 30.5 | 2.932 | 100 |
| 31.3 | 2.855 | 56 |
| 31.5 | 2.840 | 52 |
| 61.4 | 1.511 | 41 |
| 32.5 | 2.755 | 40 |
| 33.6 | 2.671 | 29 |
| 29.5 | 3.024 | 27 |
| 29.9 | 2.986 | 22 |